# 1
The following is a calculated PXRD pattern of Fe3O2F4. It was derived from a structure optimized by DFT (GGA+U), using CuKα.

Most intense lines, 2θ from 15° to 90°, by intensity:
(hkl)	2θ/deg	I_rel
1 1 -1	26.34	100
1 1 2	33.91	41
0 2 3	51.45	31
3 1 0	51.63	29
2 1 1	38.94	21
2 2 -2	54.22	17
0 0 3	34.01	13
3 1 3	65.00	12
1 3 2	65.29	11
2 0 4	58.24	10

Cell and atoms:
```
data_Fe3O2F4
_chemical_formula_sum 'Fe6 O4 F8'
_space_group_name_H-M_alt 'P 1 21 1'
_space_group_IT_number 4
_cell_length_a 5.728
_cell_length_b 4.804
_cell_length_c 7.922
_cell_angle_alpha 90.00
_cell_angle_beta 93.30
_cell_angle_gamma 90.00
loop_
_space_group_symop_operation_xyz
'x,y,z'
'-x,y+1/2,-z'
loop_
_atom_site_label
_atom_site_type_symbol
_atom_site_fract_x
_atom_site_fract_y
_atom_site_fract_z
Fe1 Fe 0.067 0.000 0.354
Fe2 Fe 0.280 0.482 0.998
Fe3 Fe 0.407 0.033 0.674
O1 O 0.112 0.208 0.560
O2 O 0.468 0.202 0.907
F1 F 0.036 0.811 0.100
F2 F 0.217 0.691 0.771
F3 F 0.262 0.298 0.227
F4 F 0.373 0.817 0.430
```

---

# 2
The following is a calculated PXRD pattern of Fe5O8F2. It was derived from a structure optimized by DFT (GGA+U), using CuKα.

Most intense lines, 2θ from 15° to 90°, by intensity:
(hkl)	2θ/deg	I_rel
1 1 1	27.07	100
3 0 -2	35.56	52
4 1 -1	53.52	42
2 2 2	55.82	15
3 2 -2	53.58	14
5 0 0	68.00	14
3 1 -2	40.65	14
2 0 2	38.66	10
4 0 -6	61.77	8
3 1 -7	68.65	6

Cell and atoms:
```
data_Fe5O8F2
_chemical_formula_sum 'Fe10 O16 F4'
_space_group_name_H-M_alt 'P 1 21/c 1'
_space_group_IT_number 14
_cell_length_a 7.597
_cell_length_b 4.654
_cell_length_c 10.154
_cell_angle_alpha 90.00
_cell_angle_beta 114.81
_cell_angle_gamma 90.00
loop_
_space_group_symop_operation_xyz
'x,y,z'
'-x,-y,-z'
'-x,y+1/2,-z+1/2'
'x,-y+1/2,z+1/2'
loop_
_atom_site_label
_atom_site_type_symbol
_atom_site_fract_x
_atom_site_fract_y
_atom_site_fract_z
Fe1 Fe 0.000 0.000 0.000
Fe2 Fe 0.192 0.020 0.787
Fe3 Fe 0.413 0.035 0.606
O1 O 0.015 0.695 0.675
O2 O 0.186 0.213 0.614
O3 O 0.386 0.187 0.422
O4 O 0.410 0.669 0.269
F1 F 0.218 0.705 0.472
```

---

# 3
The following is a calculated PXRD pattern of Fe2OF3. It was derived from a structure optimized by DFT (GGA+U), using CuKα.

Most intense lines, 2θ from 15° to 90°, by intensity:
(hkl)	2θ/deg	I_rel
0 2 0	25.49	100
2 0 0	26.87	85
1 1 -2	33.78	51
3 1 -2	33.94	48
0 4 0	52.31	42
1 3 -2	50.46	34
3 3 -2	50.58	33
1 3 2	65.03	23
1 1 2	51.91	20
5 3 -2	65.33	20

Cell and atoms:
```
data_Fe2OF3
_chemical_formula_sum 'Fe8 O4 F12'
_space_group_name_H-M_alt 'C 1 m 1'
_space_group_IT_number 8
_cell_length_a 9.145
_cell_length_b 6.989
_cell_length_c 6.340
_cell_angle_alpha 90.00
_cell_angle_beta 133.48
_cell_angle_gamma 90.00
loop_
_space_group_symop_operation_xyz
'x,y,z'
'x,-y,z'
'x+1/2,y+1/2,z'
'x+1/2,-y+1/2,z'
loop_
_atom_site_label
_atom_site_type_symbol
_atom_site_fract_x
_atom_site_fract_y
_atom_site_fract_z
Fe1 Fe 0.000 0.000 0.000
Fe2 Fe 0.003 0.000 0.511
Fe3 Fe 0.034 0.500 0.293
Fe4 Fe 0.465 0.000 0.716
O1 O 0.182 0.000 0.425
O2 O 0.329 0.500 0.598
F1 F 0.001 0.309 0.526
F2 F 0.002 0.307 0.992
F3 F 0.223 0.000 0.997
F4 F 0.285 0.500 0.024
```

---

# 4
The following is a calculated PXRD pattern of Fe3O5F. It was derived from a structure optimized by DFT (GGA+U), using CuKα.

Most intense lines, 2θ from 15° to 90°, by intensity:
(hkl)	2θ/deg	I_rel
1 1 1	26.50	100
-1 1 1	27.86	95
1 1 -2	35.42	53
1 -1 2	35.69	50
2 2 -1	52.59	30
2 2 2	54.58	30
1 -3 0	54.43	28
2 0 0	38.83	20
3 -1 2	68.44	19
0 2 -4	61.63	16

Cell and atoms:
```
data_Fe3O5F
_chemical_formula_sum 'Fe6 O10 F2'
_space_group_name_H-M_alt 'P -1'
_space_group_IT_number 2
_cell_length_a 4.646
_cell_length_b 5.550
_cell_length_c 7.579
_cell_angle_alpha 85.44
_cell_angle_beta 88.76
_cell_angle_gamma 87.33
loop_
_space_group_symop_operation_xyz
'x,y,z'
'-x,-y,-z'
loop_
_atom_site_label
_atom_site_type_symbol
_atom_site_fract_x
_atom_site_fract_y
_atom_site_fract_z
Fe1 Fe 0.000 0.000 0.000
Fe2 Fe 0.012 0.344 0.668
Fe3 Fe 0.479 0.819 0.658
Fe4 Fe 0.500 0.500 0.000
O1 O 0.185 0.288 0.896
O2 O 0.189 0.632 0.555
O3 O 0.301 0.793 0.895
O4 O 0.308 0.128 0.566
O5 O 0.310 0.465 0.231
F1 F 0.204 0.969 0.235
```

---

# 5
The following is a calculated PXRD pattern of Fe10O19F. It was derived from a structure optimized by DFT (GGA+U), using CuKα.

Most intense lines, 2θ from 15° to 90°, by intensity:
(hkl)	2θ/deg	I_rel
5 1 1	35.99	100
0 0 2	27.79	90
0 2 0	28.24	87
5 1 3	54.66	54
5 3 1	55.17	51
5 3 3	70.10	35
0 2 2	40.04	19
10 0 0	61.90	15
0 4 0	58.40	14
0 0 4	57.42	14

Cell and atoms:
```
data_Fe10O19F
_chemical_formula_sum 'Fe20 O38 F2'
_space_group_name_H-M_alt 'A m m 2'
_space_group_IT_number 38
_cell_length_a 14.989
_cell_length_b 6.321
_cell_length_c 6.420
_cell_angle_alpha 90.00
_cell_angle_beta 90.00
_cell_angle_gamma 90.00
loop_
_space_group_symop_operation_xyz
'x,y,z'
'-x,-y,z'
'-x,y,z'
'x,-y,z'
'x,y+1/2,z+1/2'
'-x,-y+1/2,z+1/2'
'-x,y+1/2,z+1/2'
'x,-y+1/2,z+1/2'
loop_
_atom_site_label
_atom_site_type_symbol
_atom_site_fract_x
_atom_site_fract_y
_atom_site_fract_z
Fe1 Fe 0.000 0.000 0.000
Fe2 Fe 0.099 0.000 0.502
Fe3 Fe 0.197 0.000 0.003
Fe4 Fe 0.296 0.000 0.504
Fe5 Fe 0.394 0.000 0.007
Fe6 Fe 0.500 0.000 0.480
O1 O 0.000 0.191 0.502
O2 O 0.101 0.000 0.196
O3 O 0.101 0.000 0.807
O4 O 0.197 0.201 0.505
O5 O 0.292 0.000 0.195
O6 O 0.294 0.000 0.814
O7 O 0.399 0.195 0.496
O8 O 0.500 0.000 0.179
F1 F 0.500 0.000 0.796
```

---

# 6
The following is a calculated PXRD pattern of Fe4O7F. It was derived from a structure optimized by DFT (GGA+U), using CuKα.

Most intense lines, 2θ from 15° to 90°, by intensity:
(hkl)	2θ/deg	I_rel
0 1 2	27.47	100
2 1 3	54.30	57
2 0 1	35.99	51
0 2 4	56.71	15
2 1 -3	41.17	13
4 1 0	69.56	11
2 0 5	69.10	10
2 3 -1	68.94	10
4 0 -2	62.49	8
4 2 2	89.38	7

Cell and atoms:
```
data_Fe4O7F
_chemical_formula_sum 'Fe8 O14 F2'
_space_group_name_H-M_alt 'P 1 21 1'
_space_group_IT_number 4
_cell_length_a 5.945
_cell_length_b 4.597
_cell_length_c 9.639
_cell_angle_alpha 90.00
_cell_angle_beta 107.94
_cell_angle_gamma 90.00
loop_
_space_group_symop_operation_xyz
'x,y,z'
'-x,y+1/2,-z'
loop_
_atom_site_label
_atom_site_type_symbol
_atom_site_fract_x
_atom_site_fract_y
_atom_site_fract_z
Fe1 Fe 0.060 0.000 0.381
Fe2 Fe 0.188 0.456 0.120
Fe3 Fe 0.312 0.980 0.868
Fe4 Fe 0.427 0.495 0.616
O1 O 0.011 0.787 0.775
O2 O 0.108 0.156 0.966
O3 O 0.137 0.686 0.525
O4 O 0.231 0.304 0.712
O5 O 0.361 0.184 0.473
O6 O 0.391 0.660 0.032
O7 O 0.488 0.283 0.228
F1 F 0.264 0.792 0.281
```

---

# 7
The following is a calculated PXRD pattern of FeP2OF. It was derived from a structure optimized by DFT (GGA+U), using CuKα.

Most intense lines, 2θ from 15° to 90°, by intensity:
(hkl)	2θ/deg	I_rel
2 0 0	39.28	100
1 0 0	19.35	86
1 0 1	31.40	61
0 0 1	24.49	54
2 0 2	65.54	37
2 0 1	46.84	35
2 2 0	56.77	30
2 1 1	51.13	28
0 0 2	50.20	23
2 2 2	79.16	21

Cell and atoms:
```
data_FeP2OF
_chemical_formula_sum 'Fe1 P2 O1 F1'
_space_group_name_H-M_alt 'P 4/m m m'
_space_group_IT_number 123
_space_group_name_Hall '-P 4 2'
_cell_length_a 4.587
_cell_length_b 4.587
_cell_length_c 3.635
_cell_angle_alpha 90.00
_cell_angle_beta 90.00
_cell_angle_gamma 90.00
loop_
_atom_site_label
_atom_site_type_symbol
_atom_site_fract_x
_atom_site_fract_y
_atom_site_fract_z
Fe1 Fe 0.000 0.000 0.000
P1 P 0.000 0.500 0.000
O1 O 0.000 0.000 0.500
F1 F 0.500 0.500 0.500
```

---

# 8
The following is a calculated PXRD pattern of VFeP2O8F2. It was derived from a structure optimized by DFT (GGA+U), using CuKα.

Most intense lines, 2θ from 15° to 90°, by intensity:
(hkl)	2θ/deg	I_rel
1 1 2	28.27	100
1 0 -1	26.79	60
0 1 -1	26.44	57
1 -1 0	24.59	34
0 1 1	18.40	26
1 0 1	18.91	21
1 0 0	18.65	16
1 1 -2	48.17	16
0 1 0	18.14	16
-2 1 1	44.89	13

Cell and atoms:
```
data_VFeP2O8F2
_chemical_formula_sum 'V1 Fe1 P2 O8 F2'
_space_group_name_H-M_alt 'P -1'
_space_group_IT_number 2
_cell_length_a 5.074
_cell_length_b 5.237
_cell_length_c 7.371
_cell_angle_alpha 70.01
_cell_angle_beta 70.70
_cell_angle_gamma 89.23
loop_
_space_group_symop_operation_xyz
'x,y,z'
'-x,-y,-z'
loop_
_atom_site_label
_atom_site_type_symbol
_atom_site_fract_x
_atom_site_fract_y
_atom_site_fract_z
V1 V 0.000 0.000 0.000
Fe1 Fe 0.500 0.500 0.500
P1 P 0.374 0.121 0.254
O1 O 0.151 0.154 0.144
O2 O 0.320 0.837 0.418
O3 O 0.330 0.849 0.918
O4 O 0.361 0.356 0.331
F1 F 0.146 0.316 0.759
```